GdMnGe2O7: calculated XRD peak list (λ = 1.5418 Å (Cu Kα)), based on a structure optimized by DFT (GGA+U).
No peak broadening, texture or thermal motion is included.

Cell and atoms:
Cell: 7.8994 7.8994 4.8115 Å, 90.00 90.00 119.33°
Positions (direct):
Gd 0.2500 0.2500 0.0000
Gd 0.7500 0.7500 0.0000
Mn 0.0000 0.5000 0.0000
Mn 0.5000 0.0000 0.0000
Ge 0.1361 0.8639 0.5205
Ge 0.3639 0.6361 0.5205
Ge 0.6361 0.3639 0.4795
Ge 0.8639 0.1361 0.4795
O 0.0280 0.3174 0.2420
O 0.0461 0.9539 0.2603
O 0.1826 0.4720 0.7580
O 0.2500 0.7500 0.3153
O 0.3174 0.0280 0.7580
O 0.4539 0.5461 0.2603
O 0.4720 0.1826 0.2420
O 0.5280 0.8174 0.7580
O 0.5461 0.4539 0.7397
O 0.6826 0.9720 0.2420
O 0.7500 0.2500 0.6847
O 0.8174 0.5280 0.2420
O 0.9539 0.0461 0.7397
O 0.9720 0.6826 0.7580

Peak list (10 most intense, 2θ from 5° to 70°, sorted by position)
22.62 deg, I = 21; 29.07 deg, I = 100; 32.18 deg, I = 66; 34.61 deg, I = 39; 37.38 deg, I = 11; 39.66 deg, I = 13; 45.47 deg, I = 16; 51.85 deg, I = 45; 56.79 deg, I = 26; 62.30 deg, I = 19